Simulated XRD peak list
Compound: CuC4O4
Radiation: a wavelength of 1.5418 Å
Structure: a crystal structure in Alexandria, relaxed with PBE
Lines closer than 0.1° are merged.

Atomic structure:
```
data_CuC4O4
_cell_length_a 10.825
_cell_length_b 9.019
_cell_length_c 5.837
_cell_angle_alpha 90.00
_cell_angle_beta 115.50
_cell_angle_gamma 90.00
_symmetry_space_group_name_H-M 'C 1 2/c 1'
_symmetry_Int_Tables_number 15
loop_
_symmetry_equiv_pos_as_xyz
'x,y,z'
'-x,-y,-z'
'-x,y,-z+1/2'
'x,-y,z+1/2'
'x+1/2,y+1/2,z'
'-x+1/2,-y+1/2,-z'
'-x+1/2,y+1/2,-z+1/2'
'x+1/2,-y+1/2,z+1/2'
loop_
_atom_site_label
_atom_site_type_symbol
_atom_site_fract_x
_atom_site_fract_y
_atom_site_fract_z
_atom_site_occupancy
Cu1 Cu 0.000 0.085 0.250 1
C1 C 0.190 0.243 0.100 1
C2 C 0.193 0.166 0.879 1
O1 O 0.121 0.243 0.226 1
O2 O 0.128 0.065 0.724 1
```

Principal peaks in the range 15° ≤ 2θ ≤ 90°, low angle first:
h k l  two_theta  I/Imax
1 1 1  24.46  100
2 2 0  26.91  34
2 2 -1  27.29  43
1 1 -2  32.71  44
0 0 2  34.03  45
2 2 1  35.98  29
4 2 -1  38.83  35
3 3 -1  39.35  58
1 1 2  40.37  22
3 3 1  49.16  27

***

Simulated XRD peak list
Compound: CuCO3
Radiation: a wavelength of 1.5418 Å
Structure: a crystal structure in Alexandria, relaxed with PBE
Lines closer than 0.1° are merged.

Atomic structure:
```
data_CuCO3
_cell_length_a 4.214
_cell_length_b 4.830
_cell_length_c 6.663
_cell_angle_alpha 74.06
_cell_angle_beta 75.59
_cell_angle_gamma 68.13
_symmetry_space_group_name_H-M 'P -1'
_symmetry_Int_Tables_number 2
loop_
_symmetry_equiv_pos_as_xyz
'x,y,z'
'-x,-y,-z'
loop_
_atom_site_label
_atom_site_type_symbol
_atom_site_fract_x
_atom_site_fract_y
_atom_site_fract_z
_atom_site_occupancy
Cu1 Cu 0.054 0.266 0.236 1
C1 C 0.463 0.634 0.246 1
O1 O 0.189 0.837 0.309 1
O2 O 0.241 0.321 0.829 1
O3 O 0.473 0.353 0.261 1
```

Principal peaks in the range 15° ≤ 2θ ≤ 90°, low angle first:
h k l  two_theta  I/Imax
0 1 1  22.19  35
1 0 0  23.05  22
1 1 1  24.78  61
0 1 -1  26.97  12
0 0 2  28.24  100
0 2 0  41.13  20
1 1 3  42.56  19
2 1 1  43.10  18
0 1 3  43.74  13
2 1 -1  50.84  12

***

Simulated XRD peak list
Compound: Sr8Y4Cu11CO28
Radiation: a wavelength of 1.5418 Å
Structure: a crystal structure in Alexandria, relaxed with PBE
Lines closer than 0.1° are merged.

Atomic structure:
```
data_Sr8Y4Cu11CO28
_cell_length_a 3.852
_cell_length_b 22.744
_cell_length_c 15.381
_cell_angle_alpha 90.00
_cell_angle_beta 90.00
_cell_angle_gamma 90.00
_symmetry_space_group_name_H-M 'A m m 2'
_symmetry_Int_Tables_number 38
loop_
_symmetry_equiv_pos_as_xyz
'x,y,z'
'-x,-y,z'
'-x,y,z'
'x,-y,z'
'x,y+1/2,z+1/2'
'-x,-y+1/2,z+1/2'
'-x,y+1/2,z+1/2'
'x,-y+1/2,z+1/2'
loop_
_atom_site_label
_atom_site_type_symbol
_atom_site_fract_x
_atom_site_fract_y
_atom_site_fract_z
_atom_site_occupancy
Sr1 Sr 0.000 0.087 0.000 1
Sr2 Sr 0.000 0.092 0.306 1
Sr3 Sr 0.000 0.093 0.538 1
Sr4 Sr 0.000 0.094 0.769 1
Y1 Y 0.000 0.242 0.031 1
Y2 Y 0.000 0.245 0.280 1
Cu1 Cu 0.500 0.000 0.419 1
Cu2 Cu 0.500 0.000 0.652 1
Cu3 Cu 0.500 0.000 0.881 1
Cu4 Cu 0.500 0.169 0.156 1
Cu5 Cu 0.500 0.176 0.901 1
Cu6 Cu 0.500 0.179 0.410 1
Cu7 Cu 0.500 0.183 0.654 1
C1 C 0.500 0.000 0.157 1
O1 O 0.000 0.000 0.402 1
O2 O 0.000 0.000 0.641 1
O3 O 0.000 0.000 0.889 1
O4 O 0.000 0.180 0.157 1
O5 O 0.000 0.186 0.903 1
O6 O 0.000 0.188 0.409 1
O7 O 0.000 0.191 0.654 1
O8 O 0.500 0.000 0.072 1
O9 O 0.500 0.050 0.199 1
O10 O 0.500 0.082 0.886 1
O11 O 0.500 0.083 0.423 1
O12 O 0.500 0.083 0.655 1
O13 O 0.500 0.170 0.030 1
O14 O 0.500 0.177 0.283 1
O15 O 0.500 0.195 0.778 1
O16 O 0.500 0.201 0.532 1
```

Principal peaks in the range 15° ≤ 2θ ≤ 90°, low angle first:
h k l  two_theta  I/Imax
1 0 4  32.91  46
1 6 0  33.17  100
0 8 4  39.40  9
1 6 4  40.82  7
2 0 0  47.22  29
0 12 0  48.00  11
2 6 4  58.93  33
1 12 4  59.43  13
2 0 8  69.02  7
2 12 0  69.61  10

***

Simulated XRD peak list
Compound: TbCuCO4
Radiation: a wavelength of 1.5418 Å
Structure: a crystal structure in Alexandria, relaxed with PBE
Lines closer than 0.1° are merged.

Atomic structure:
```
data_TbCuCO4
_cell_length_a 5.328
_cell_length_b 7.580
_cell_length_c 7.586
_cell_angle_alpha 90.00
_cell_angle_beta 90.00
_cell_angle_gamma 90.00
_symmetry_space_group_name_H-M 'I m m a'
_symmetry_Int_Tables_number 74
_symmetry_space_group_name_Hall '-I 2b 2'
loop_
_atom_site_label
_atom_site_type_symbol
_atom_site_fract_x
_atom_site_fract_y
_atom_site_fract_z
_atom_site_occupancy
Tb1 Tb 0.000 0.000 0.000 1
Cu1 Cu 0.250 0.250 0.250 1
C1 C 0.000 0.250 0.618 1
O1 O 0.000 0.098 0.701 1
O2 O 0.235 0.250 0.490 1
```

Principal peaks in the range 15° ≤ 2θ ≤ 90°, low angle first:
h k l  two_theta  I/Imax
1 0 1  20.37  92
0 0 2  23.46  22
1 2 1  31.27  100
0 2 2  33.42  51
1 0 3  39.44  33
2 2 0  41.42  80
1 2 3  46.41  32
0 0 4  47.99  34
1 4 1  52.66  20
2 2 4  65.22  49